Entry 1:
This entry pairs a crystal structure of Fe3NiN with its computed powder X-ray diffraction pattern. Radiation: CuKα. Structure: a DFT-relaxed cell (GGA-PBE, the Materials Project).
No peak broadening, texture or thermal motion is included.

Cell and atoms:
Lattice parameters (Å, degrees): 3.774 3.774 3.774 90.00 90.00 90.00
Sites, in units of the cell vectors:
Fe (0.000, 0.000, 0.500)
Fe (0.000, 0.500, 0.000)
Fe (0.500, 0.000, 0.000)
Ni (0.500, 0.500, 0.500)
N (0.000, 0.000, 0.000)

Peak list (5 most intense, 2θ = 5–70°, low angle first)
hkl 1 0 0, 2θ 23.57, I = 1
hkl 1 1 0, 2θ 33.58, I = 2
hkl 1 1 1, 2θ 41.44, I = 100
hkl 2 0 0, 2θ 48.23, I = 58
hkl 2 1 1, 2θ 60.05, I = 1

=====

Entry 2:
This entry pairs a crystal structure of Fe2PbN2 with its computed powder X-ray diffraction pattern. Radiation: CuKα. Structure: a DFT-relaxed cell (GGA-PBE, the Materials Project).
No peak broadening, texture or thermal motion is included.

Cell and atoms:
Lattice parameters (Å, degrees): 3.246 3.246 7.117 90.00 90.00 120.00
Sites, in units of the cell vectors:
Fe (0.333, 0.667, 0.383)
Fe (0.667, 0.333, 0.617)
Pb (0.000, 0.000, 0.000)
N (0.333, 0.667, 0.655)
N (0.667, 0.333, 0.345)

Peak list (10 most intense, 2θ = 5–70°, low angle first)
hkl 0 0 1, 2θ 12.44, I = 22
hkl 0 0 2, 2θ 25.02, I = 23
hkl 1 0 0, 2θ 31.83, I = 15
hkl 0 1 1, 2θ 34.30, I = 100
hkl 0 0 3, 2θ 37.93, I = 17
hkl 1 0 2, 2θ 40.91, I = 44
hkl 0 1 3, 2θ 50.33, I = 16
hkl 1 1 0, 2θ 56.72, I = 20
hkl 1 0 4, 2θ 61.70, I = 20
hkl 2 0 1, 2θ 67.98, I = 14

=====

Entry 3:
This entry pairs a crystal structure of Fe3PdN with its computed powder X-ray diffraction pattern. Radiation: CuKα. Structure: a DFT-relaxed cell (GGA-PBE, the Materials Project).
No peak broadening, texture or thermal motion is included.

Cell and atoms:
Lattice parameters (Å, degrees): 3.866 3.866 3.866 90.00 90.00 90.00
Sites, in units of the cell vectors:
Fe (0.000, 0.000, 0.500)
Fe (0.000, 0.500, 0.000)
Fe (0.500, 0.000, 0.000)
Pd (0.500, 0.500, 0.500)
N (0.000, 0.000, 0.000)

Peak list (7 most intense, 2θ = 5–70°, low angle first)
hkl 1 0 0, 2θ 23.00, I = 5
hkl 1 1 0, 2θ 32.76, I = 14
hkl 1 1 1, 2θ 40.41, I = 100
hkl 2 0 0, 2θ 47.01, I = 57
hkl 2 1 0, 2θ 52.96, I = 3
hkl 2 1 1, 2θ 58.47, I = 5
hkl 2 2 0, 2θ 68.66, I = 33

=====

Copy entry 2 word for word.
This entry pairs a crystal structure of Fe2PbN2 with its computed powder X-ray diffraction pattern. Radiation: CuKα. Structure: a DFT-relaxed cell (GGA-PBE, the Materials Project).
No peak broadening, texture or thermal motion is included.

Cell and atoms:
Lattice parameters (Å, degrees): 3.246 3.246 7.117 90.00 90.00 120.00
Sites, in units of the cell vectors:
Fe (0.333, 0.667, 0.383)
Fe (0.667, 0.333, 0.617)
Pb (0.000, 0.000, 0.000)
N (0.333, 0.667, 0.655)
N (0.667, 0.333, 0.345)

Peak list (10 most intense, 2θ = 5–70°, low angle first)
hkl 0 0 1, 2θ 12.44, I = 22
hkl 0 0 2, 2θ 25.02, I = 23
hkl 1 0 0, 2θ 31.83, I = 15
hkl 0 1 1, 2θ 34.30, I = 100
hkl 0 0 3, 2θ 37.93, I = 17
hkl 1 0 2, 2θ 40.91, I = 44
hkl 0 1 3, 2θ 50.33, I = 16
hkl 1 1 0, 2θ 56.72, I = 20
hkl 1 0 4, 2θ 61.70, I = 20
hkl 2 0 1, 2θ 67.98, I = 14